Structure and theoretical X-ray powder pattern of Rb2CaCoI6 (a cell relaxed with PBE; Cu Kα (λ = 1.5418 Å)).
Lines closer than 0.1° are merged.

Peak list (8 most intense, 2θ from 10° to 80°, sorted by position)
| Position (°2θ) | I (rel.) |
| --- | --- |
| 26.12 | 100 |
| 30.25 | 81 |
| 43.31 | 58 |
| 51.28 | 43 |
| 53.73 | 20 |
| 69.31 | 17 |
| 71.38 | 24 |
| 79.45 | 17 |

Cell and atoms:
```
data_Rb2CaCoI6
_symmetry_space_group_name_H-M 'P 1'
_symmetry_Int_Tables_number 1
_symmetry_space_group_name_Hall 'P 1'
_cell_length_a 8.357
_cell_length_b 8.357
_cell_length_c 8.357
_cell_angle_alpha 60.00
_cell_angle_beta 60.00
_cell_angle_gamma 60.00
loop_
_atom_site_label
_atom_site_fract_x
_atom_site_fract_y
_atom_site_fract_z
Rb1 0.250 0.250 0.250
Rb2 0.750 0.750 0.750
Ca1 0.000 0.000 0.000
Co1 0.500 0.500 0.500
I1 0.263 0.263 0.737
I2 0.263 0.737 0.263
I3 0.263 0.737 0.737
I4 0.737 0.263 0.263
I5 0.737 0.263 0.737
I6 0.737 0.737 0.263
```